The following is a simulated powder XRD pattern of Pa5CS4. It was derived from a cell relaxed with GGA-PBE, using Cu Ka.
No peak broadening, texture or thermal motion is included.

Largest 8 diffraction maxima, by angle, 2θ = 10–90°:
Position (°2θ)  I (rel.)
28.42  100.0
32.87  62.7
33.05  26.6
47.18  22.3
47.31  39.3
56.00  32.9
58.81  20.7
87.85  14.3

Unit cell a=13.824 b=13.824 c=13.824 alpha=163.98 beta=163.98 gamma=22.73
Sites, in units of the cell vectors:
Pa 0.000 0.000 0.000
Pa 0.200 0.200 0.000
Pa 0.409 0.409 0.000
Pa 0.591 0.591 0.000
Pa 0.800 0.800 0.000
C 0.500 0.500 0.000
S 0.100 0.100 0.000
S 0.303 0.303 0.000
S 0.697 0.697 0.000
S 0.900 0.900 0.000

The following is a simulated powder XRD pattern of Pa4C3S. It was derived from a cell relaxed with GGA-PBE, using Cu Ka.
No peak broadening, texture or thermal motion is included.

Largest 8 diffraction maxima, by angle, 2θ = 10–90°:
Position (°2θ)  I (rel.)
28.40  40.2
29.46  70.6
30.54  38.3
33.78  56.6
35.85  100.0
50.60  48.9
59.05  35.4
63.53  32.9

Unit cell a=3.608 b=3.608 c=25.140 alpha=90.00 beta=90.00 gamma=120.00
Sites, in units of the cell vectors:
Pa 0.000 0.000 0.172
Pa 0.000 0.000 0.328
Pa 0.000 0.000 0.672
Pa 0.000 0.000 0.828
Pa 0.333 0.667 0.058
Pa 0.333 0.667 0.442
Pa 0.667 0.333 0.558
Pa 0.667 0.333 0.942
C 0.000 0.000 0.000
C 0.000 0.000 0.500
C 0.333 0.667 0.619
C 0.333 0.667 0.881
C 0.667 0.333 0.119
C 0.667 0.333 0.381
S 0.333 0.667 0.250
S 0.667 0.333 0.750

The following is a simulated powder XRD pattern of ZrPaCS. It was derived from a cell relaxed with GGA-PBE, using Cu Ka.
No peak broadening, texture or thermal motion is included.

Largest 8 diffraction maxima, by angle, 2θ = 10–90°:
Position (°2θ)  I (rel.)
13.43  55.0
27.05  37.2
30.08  96.6
31.10  26.0
34.94  73.6
37.59  100.0
52.76  39.7
55.63  27.3

Unit cell a=3.470 b=3.470 c=19.777 alpha=90.00 beta=90.00 gamma=120.00
Sites, in units of the cell vectors:
Zr 0.000 0.000 0.000
Zr 0.333 0.667 0.667
Zr 0.667 0.333 0.333
Pa 0.000 0.000 0.195
Pa 0.333 0.667 0.862
Pa 0.667 0.333 0.528
C 0.000 0.000 0.603
C 0.333 0.667 0.270
C 0.667 0.333 0.937
S 0.000 0.000 0.423
S 0.333 0.667 0.090
S 0.667 0.333 0.757

The following is a simulated powder XRD pattern of ThPaSb2C. It was derived from a cell relaxed with GGA-PBE, using Cu Ka.
No peak broadening, texture or thermal motion is included.

Largest 8 diffraction maxima, by angle, 2θ = 10–90°:
Position (°2θ)  I (rel.)
24.90  28.9
28.92  100.0
32.36  22.5
37.59  41.5
38.53  41.2
41.36  41.0
48.89  19.2
57.12  25.1

Unit cell a=4.365 b=4.365 c=14.303 alpha=90.00 beta=90.00 gamma=90.00
Sites, in units of the cell vectors:
Th 0.250 0.250 0.124
Th 0.750 0.750 0.876
Pa 0.250 0.250 0.569
Pa 0.750 0.750 0.431
Sb 0.250 0.250 0.339
Sb 0.250 0.250 0.895
Sb 0.750 0.750 0.105
Sb 0.750 0.750 0.661
C 0.250 0.750 0.500
C 0.750 0.250 0.500